No. 1
# MnCd2Se3
Theoretical PXRD pattern, Cu Kα, 1.54184 Å. Input: a DFT-relaxed cell (GGA-PBE, Alexandria).
Neutral-atom scattering factors, no anomalous dispersion.

Cell and atoms:
Lattice parameters (Å, degrees): 7.4542 7.4542 7.4659 99.57 99.57 120.04
Positions (direct):
1 Mn 0.0813 0.9187 0.5000
2 Mn 0.9187 0.0813 0.0000
3 Cd 0.2475 0.7539 0.9995
4 Cd 0.4154 0.5825 0.4990
5 Cd 0.5825 0.4154 0.9990
6 Cd 0.7539 0.2475 0.4995
7 Se 0.0404 0.1923 0.3632
8 Se 0.1923 0.0404 0.8632
9 Se 0.3616 0.8777 0.3800
10 Se 0.5545 0.7235 0.8802
11 Se 0.7235 0.5545 0.3802
12 Se 0.8777 0.3616 0.8800

Principal peaks in the range 2θ = 10–80°, in order of falling intensity:
d 3.516, 25.33°, I = 100
d 2.153, 41.97°, I = 74
d 1.835, 49.67°, I = 34
d 1.242, 76.71°, I = 13
d 1.522, 60.85°, I = 12
d 1.838, 49.61°, I = 11
d 1.244, 76.60°, I = 10
d 1.398, 66.94°, I = 9
d 1.396, 67.04°, I = 9
d 6.171, 14.35°, I = 2

No. 2
# MnZnCdTe3
Theoretical PXRD pattern, Cu Kα, 1.54184 Å. Input: a DFT-relaxed cell (GGA-PBE, Alexandria).
Neutral-atom scattering factors, no anomalous dispersion.

Cell and atoms:
Lattice parameters (Å, degrees): 10.1085 10.1085 10.1085 154.30 154.24 36.71
Positions (direct):
1 Mn 0.0000 0.0000 0.0000
2 Zn 0.3399 0.3399 0.0000
3 Cd 0.6720 0.6720 0.0000
4 Te 0.2625 0.7625 0.5000
5 Te 0.5804 0.0804 0.5000
6 Te 0.9183 0.4183 0.5000

Principal peaks in the range 2θ = 10–80°, in order of falling intensity:
d 3.681, 24.18°, I = 100
d 2.255, 39.97°, I = 61
d 1.920, 47.34°, I = 33
d 1.463, 63.58°, I = 15
d 1.927, 47.17°, I = 15
d 2.248, 40.11°, I = 13
d 1.225, 77.97°, I = 9
d 1.591, 57.95°, I = 8
d 1.301, 72.65°, I = 8
d 1.299, 72.78°, I = 8